Computed powder diffractogram
Compound: PrDy3Rh8
Radiation: a wavelength of 1.5418 Å
Structure: a crystal structure in Alexandria, relaxed with PBE
Neutral-atom scattering factors, no anomalous dispersion.

The 8 most intense peaks (10° ≤ 2θ ≤ 80°), in order of falling intensity:
hkl	2theta	intensity
1 1 2	39.40	100
1 0 3	36.29	88
0 2 1	40.21	80
1 1 0	33.45	43
2 1 3	61.66	36
0 2 5	66.81	30
2 2 0	70.28	27
0 3 2	63.81	24

a b c (Å): 5.3575 5.3575 8.7813
angles (deg): 90.00 90.00 120.00
Space group P3m1 (No. 156)
Unique sites:
Pr 0.0000 0.0000 0.0000
Dy 0.0000 0.0000 0.3671
Dy 0.6667 0.3333 0.4982
Dy 0.6667 0.3333 0.8631
Rh 0.1649 0.3297 0.6795
Rh 0.3333 0.6667 0.4325
Rh 0.3333 0.6667 0.9315
Rh 0.5020 0.0041 0.1861